[1]
Structure and calculated powder diffraction line list of V3Pd6Pt (DFT lattice parameters and positions (PBE); a wavelength of 1.5418 Å).
No peak broadening, texture or thermal motion is included.

Principal peaks in the range 2θ from 10° to 80°, low angle first:
| 2θ/deg | intensity |
| --- | --- |
| 27.5 | 19 |
| 36.9 | 100 |
| 37.1 | 35 |
| 38.9 | 38 |
| 39.1 | 22 |
| 39.8 | 47 |
| 41.6 | 28 |
| 44.9 | 45 |
| 45.5 | 18 |
| 45.7 | 19 |
| 46.7 | 30 |
| 48.2 | 25 |

Crystal structure
a b c (Å): 8.7253 8.7253 4.8513
angles (deg): 90.00 90.00 123.54
Sites, in units of the cell vectors:
V  0.1091  0.8909  0.5000
V  0.2366  0.4544  0.2467
V  0.4544  0.2366  0.7467
V  0.5456  0.7634  0.2467
V  0.7634  0.5456  0.7467
V  0.8909  0.1091  0.0000
Pd  0.0809  0.4620  0.8368
Pd  0.1366  0.2025  0.6156
Pd  0.1809  0.8191  0.9720
Pd  0.2025  0.1366  0.1156
Pd  0.4515  0.5485  0.7660
Pd  0.4620  0.0809  0.3368
Pd  0.5380  0.9191  0.8368
Pd  0.5485  0.4515  0.2660
Pd  0.7975  0.8634  0.6156
Pd  0.8191  0.1809  0.4720
Pd  0.8634  0.7975  0.1156
Pd  0.9191  0.5380  0.3368
Pt  0.2734  0.7266  0.4778
Pt  0.7266  0.2734  0.9778

=====

[2]
Structure and calculated powder diffraction line list of NaZn4In12 (DFT lattice parameters and positions (PBE); a wavelength of 1.5418 Å).
No peak broadening, texture or thermal motion is included.

Principal peaks in the range 2θ from 10° to 80°, low angle first:
| 2θ/deg | intensity |
| --- | --- |
| 12.9 | 8 |
| 29.1 | 100 |
| 34.6 | 33 |
| 39.4 | 8 |
| 41.6 | 26 |
| 43.8 | 10 |
| 45.8 | 19 |
| 47.8 | 28 |
| 55.2 | 13 |
| 56.9 | 8 |
| 65.2 | 17 |
| 74.5 | 9 |

Crystal structure
a b c (Å): 8.4047 8.4047 8.4047
angles (deg): 109.47 109.47 109.47
Sites, in units of the cell vectors:
Na  0.0000  0.0000  0.0000
Zn  0.0000  0.0000  0.5000
Zn  0.0000  0.5000  0.0000
Zn  0.5000  0.0000  0.0000
Zn  0.5000  0.5000  0.5000
In  0.1576  0.3439  0.5016
In  0.1576  0.6561  0.8137
In  0.1863  0.8424  0.3439
In  0.3439  0.1863  0.8424
In  0.3439  0.5016  0.1576
In  0.4984  0.8424  0.6561
In  0.5016  0.1576  0.3439
In  0.6561  0.4984  0.8424
In  0.6561  0.8137  0.1576
In  0.8137  0.1576  0.6561
In  0.8424  0.3439  0.1863
In  0.8424  0.6561  0.4984

=====

[3]
Structure and calculated powder diffraction line list of CeCu2Ni3 (DFT lattice parameters and positions (PBE); a wavelength of 1.5418 Å).
No peak broadening, texture or thermal motion is included.

Principal peaks in the range 2θ from 10° to 80°, low angle first:
| 2θ/deg | intensity |
| --- | --- |
| 23.6 | 19 |
| 29.6 | 25 |
| 34.0 | 26 |
| 35.1 | 21 |
| 37.4 | 100 |
| 41.0 | 28 |
| 42.7 | 40 |
| 43.3 | 60 |
| 43.7 | 38 |
| 49.1 | 56 |
| 67.7 | 17 |
| 75.8 | 20 |

Crystal structure
a b c (Å): 6.0460 6.0460 4.8338
angles (deg): 90.00 90.00 86.44
Sites, in units of the cell vectors:
Ce  0.2122  0.7878  0.7500
Ce  0.7878  0.2122  0.2500
Cu  0.2588  0.2588  0.0000
Cu  0.2588  0.2588  0.5000
Cu  0.7412  0.7412  0.0000
Cu  0.7412  0.7412  0.5000
Ni  0.0657  0.5852  0.2500
Ni  0.4148  0.9343  0.2500
Ni  0.4602  0.5398  0.2500
Ni  0.5398  0.4602  0.7500
Ni  0.5852  0.0657  0.7500
Ni  0.9343  0.4148  0.7500

=====

[4]
Structure and calculated powder diffraction line list of Dy2Tm5Sc2 (DFT lattice parameters and positions (PBE); a wavelength of 1.5418 Å).
No peak broadening, texture or thermal motion is included.

Principal peaks in the range 2θ from 10° to 80°, low angle first:
| 2θ/deg | intensity |
| --- | --- |
| 28.4 | 13 |
| 29.1 | 9 |
| 31.9 | 29 |
| 32.3 | 31 |
| 32.6 | 100 |
| 33.6 | 32 |
| 35.3 | 11 |
| 45.6 | 9 |
| 46.8 | 10 |
| 47.9 | 10 |
| 57.4 | 7 |
| 58.2 | 10 |

Crystal structure
a b c (Å): 5.5456 6.2867 8.7878
angles (deg): 80.35 71.94 65.29
Sites, in units of the cell vectors:
Dy  0.0845  0.2903  0.1445
Dy  0.9155  0.7097  0.8555
Tm  0.0000  0.0000  0.5000
Tm  0.3398  0.1462  0.7462
Tm  0.3773  0.4193  0.3731
Tm  0.6227  0.5807  0.6269
Tm  0.6602  0.8538  0.2538
Sc  0.2907  0.7540  0.0461
Sc  0.7093  0.2460  0.9539

=====

[5]
Structure and calculated powder diffraction line list of Nd2Dy4Th (DFT lattice parameters and positions (PBE); a wavelength of 1.5418 Å).
No peak broadening, texture or thermal motion is included.

Principal peaks in the range 2θ from 10° to 80°, low angle first:
| 2θ/deg | intensity |
| --- | --- |
| 28.6 | 37 |
| 30.8 | 60 |
| 32.2 | 100 |
| 32.9 | 98 |
| 41.3 | 12 |
| 50.5 | 42 |
| 55.2 | 14 |
| 56.6 | 22 |
| 60.3 | 17 |
| 60.4 | 33 |
| 61.2 | 16 |
| 61.6 | 11 |

Crystal structure
a b c (Å): 3.6153 3.6153 20.4348
angles (deg): 95.21 95.21 59.90
Sites, in units of the cell vectors:
Nd  0.0000  0.0000  0.0000
Nd  0.0892  0.0892  0.2871
Dy  0.2805  0.2805  0.8546
Dy  0.3760  0.3760  0.1443
Dy  0.8085  0.8085  0.4318
Dy  0.9006  0.9006  0.7156
Th  0.1824  0.1824  0.5735

=====

[6]
Structure and calculated powder diffraction line list of PmSi3Ni2 (DFT lattice parameters and positions (PBE); a wavelength of 1.5418 Å).
No peak broadening, texture or thermal motion is included.

Principal peaks in the range 2θ from 10° to 80°, low angle first:
| 2θ/deg | intensity |
| --- | --- |
| 23.3 | 86 |
| 29.8 | 61 |
| 30.0 | 43 |
| 30.2 | 37 |
| 34.9 | 97 |
| 35.2 | 100 |
| 36.5 | 34 |
| 37.6 | 63 |
| 40.4 | 66 |
| 43.7 | 54 |
| 59.7 | 39 |
| 60.1 | 35 |

Crystal structure
a b c (Å): 6.1595 6.1595 5.0038
angles (deg): 90.00 90.00 73.94
Sites, in units of the cell vectors:
Pm  0.1661  0.8339  0.7500
Pm  0.8339  0.1661  0.2500
Si  0.0239  0.5939  0.2500
Si  0.4061  0.9761  0.2500
Si  0.4242  0.5758  0.2500
Si  0.5758  0.4242  0.7500
Si  0.5939  0.0239  0.7500
Si  0.9761  0.4061  0.7500
Ni  0.3042  0.3042  0.0000
Ni  0.3042  0.3042  0.5000
Ni  0.6958  0.6958  0.0000
Ni  0.6958  0.6958  0.5000

=====

[7]
Structure and calculated powder diffraction line list of AlInI5 (DFT lattice parameters and positions (PBE); a wavelength of 1.5418 Å).
No peak broadening, texture or thermal motion is included.

Principal peaks in the range 2θ from 10° to 80°, low angle first:
| 2θ/deg | intensity |
| --- | --- |
| 11.2 | 33 |
| 17.0 | 54 |
| 17.4 | 51 |
| 23.6 | 39 |
| 24.3 | 49 |
| 24.6 | 58 |
| 25.3 | 32 |
| 26.4 | 100 |
| 28.0 | 38 |
| 30.7 | 37 |
| 31.4 | 31 |
| 41.1 | 34 |

Crystal structure
a b c (Å): 8.0284 8.5280 11.6003
angles (deg): 111.03 107.59 92.92
Sites, in units of the cell vectors:
Al  0.0721  0.3668  0.2292
Al  0.9279  0.6332  0.7708
In  0.5000  0.0000  0.5000
In  0.5000  0.5000  0.0000
I  0.1595  0.6671  0.4065
I  0.1608  0.1379  0.3178
I  0.1725  0.3146  0.0272
I  0.2740  0.7229  0.8710
I  0.3984  0.2235  0.7570
I  0.6016  0.7765  0.2430
I  0.7260  0.2771  0.1290
I  0.8275  0.6854  0.9728
I  0.8392  0.8621  0.6822
I  0.8405  0.3329  0.5935

=====

[8]
Structure and calculated powder diffraction line list of KBO2 (DFT lattice parameters and positions (PBE); a wavelength of 1.5418 Å).
No peak broadening, texture or thermal motion is included.

Principal peaks in the range 2θ from 10° to 80°, low angle first:
| 2θ/deg | intensity |
| --- | --- |
| 25.0 | 30 |
| 28.6 | 96 |
| 31.2 | 100 |
| 37.1 | 23 |
| 37.6 | 23 |
| 38.5 | 35 |
| 42.1 | 29 |
| 44.6 | 20 |
| 46.9 | 19 |
| 51.2 | 24 |
| 52.4 | 24 |
| 76.9 | 13 |

Crystal structure
a b c (Å): 7.8526 7.8526 7.8526
angles (deg): 110.30 110.30 110.30
Sites, in units of the cell vectors:
K  0.1900  0.7500  0.3100
K  0.2500  0.6900  0.8100
K  0.3100  0.1900  0.7500
K  0.6900  0.8099  0.2500
K  0.7500  0.3100  0.1900
K  0.8100  0.2500  0.6900
B  0.1371  0.2500  0.3629
B  0.2500  0.3629  0.1371
B  0.3629  0.1371  0.2500
B  0.6371  0.8629  0.7500
B  0.7500  0.6371  0.8629
B  0.8629  0.7500  0.6371
O  0.0343  0.2500  0.4657
O  0.1419  0.3581  0.2500
O  0.2500  0.1419  0.3581
O  0.2500  0.4657  0.0343
O  0.3581  0.2500  0.1419
O  0.4657  0.0343  0.2500
O  0.5343  0.9657  0.7500
O  0.6419  0.7500  0.8581
O  0.7500  0.5343  0.9657
O  0.7500  0.8581  0.6419
O  0.8581  0.6419  0.7500
O  0.9657  0.7500  0.5343

=====

[9]
Structure and calculated powder diffraction line list of TlPtF5 (DFT lattice parameters and positions (PBE); a wavelength of 1.5418 Å).
No peak broadening, texture or thermal motion is included.

Principal peaks in the range 2θ from 10° to 80°, low angle first:
| 2θ/deg | intensity |
| --- | --- |
| 22.2 | 40 |
| 23.3 | 100 |
| 23.9 | 98 |
| 25.4 | 67 |
| 31.7 | 36 |
| 32.1 | 31 |
| 35.0 | 33 |
| 37.5 | 25 |
| 43.8 | 19 |
| 45.4 | 16 |
| 46.9 | 17 |
| 47.6 | 16 |

Crystal structure
a b c (Å): 5.2934 5.2934 11.3292
angles (deg): 94.48 94.48 49.09
Sites, in units of the cell vectors:
Tl  0.0961  0.9039  0.7500
Tl  0.9039  0.0961  0.2500
Pt  0.0000  0.5000  0.0000
Pt  0.5000  0.0000  0.5000
F  0.0465  0.2153  0.4295
F  0.0815  0.3252  0.1599
F  0.2153  0.0465  0.9295
F  0.3252  0.0815  0.6599
F  0.4038  0.5962  0.2500
F  0.5962  0.4038  0.7500
F  0.6748  0.9185  0.3401
F  0.7847  0.9535  0.0705
F  0.9185  0.6748  0.8401
F  0.9535  0.7847  0.5705

=====

[10]
Structure and calculated powder diffraction line list of NaSmBr3 (DFT lattice parameters and positions (PBE); a wavelength of 1.5418 Å).
No peak broadening, texture or thermal motion is included.

Principal peaks in the range 2θ from 10° to 80°, low angle first:
| 2θ/deg | intensity |
| --- | --- |
| 12.9 | 100 |
| 29.1 | 58 |
| 29.2 | 18 |
| 34.5 | 27 |
| 34.7 | 28 |
| 37.1 | 16 |
| 37.1 | 30 |
| 45.7 | 26 |
| 47.7 | 11 |
| 47.9 | 12 |
| 55.1 | 13 |
| 73.1 | 13 |

Crystal structure
a b c (Å): 7.9364 7.9364 6.8332
angles (deg): 90.00 90.00 120.07
Sites, in units of the cell vectors:
Na  0.1669  0.8331  0.7500
Na  0.8331  0.1669  0.2500
Sm  0.5000  0.5000  0.0000
Sm  0.5000  0.5000  0.5000
Br  0.1536  0.3266  0.7500
Br  0.3266  0.1536  0.2500
Br  0.3271  0.6729  0.2500
Br  0.6729  0.3271  0.7500
Br  0.6734  0.8464  0.7500
Br  0.8464  0.6734  0.2500

=====

[11]
Structure and calculated powder diffraction line list of LiB3H8 (DFT lattice parameters and positions (PBE); a wavelength of 1.5418 Å).
No peak broadening, texture or thermal motion is included.

Principal peaks in the range 2θ from 10° to 80°, low angle first:
| 2θ/deg | intensity |
| --- | --- |
| 15.0 | 6 |
| 20.1 | 16 |
| 21.6 | 93 |
| 22.5 | 100 |
| 25.4 | 7 |
| 30.3 | 10 |
| 37.3 | 6 |
| 39.0 | 8 |
| 43.8 | 5 |
| 45.6 | 6 |
| 52.1 | 6 |
| 57.4 | 7 |

Crystal structure
a b c (Å): 5.9338 5.9338 5.7410
angles (deg): 90.00 90.00 96.51
Sites, in units of the cell vectors:
Li  0.0598  0.9402  0.7500
Li  0.9402  0.0598  0.2500
B  0.1968  0.8032  0.0964
B  0.1968  0.8032  0.4036
B  0.3720  0.6280  0.2500
B  0.6280  0.3720  0.7500
B  0.8032  0.1968  0.5964
B  0.8032  0.1968  0.9036
H  0.0110  0.7277  0.0210
H  0.0110  0.7277  0.4790
H  0.2723  0.9890  0.0210
H  0.2723  0.9890  0.4790
H  0.3140  0.4270  0.2500
H  0.3265  0.6735  0.0064
H  0.3265  0.6735  0.4936
H  0.4270  0.3140  0.7500
H  0.5730  0.6860  0.2500
H  0.6735  0.3265  0.5064
H  0.6735  0.3265  0.9936
H  0.6860  0.5730  0.7500
H  0.7277  0.0110  0.5210
H  0.7277  0.0110  0.9790
H  0.9890  0.2723  0.5210
H  0.9890  0.2723  0.9790

=====

[12]
Structure and calculated powder diffraction line list of NiGeB (DFT lattice parameters and positions (PBE); a wavelength of 1.5418 Å).
No peak broadening, texture or thermal motion is included.

Principal peaks in the range 2θ from 10° to 80°, low angle first:
| 2θ/deg | intensity |
| --- | --- |
| 20.6 | 8 |
| 35.2 | 100 |
| 39.7 | 53 |
| 41.9 | 22 |
| 46.4 | 82 |
| 60.0 | 37 |
| 64.3 | 12 |
| 71.5 | 12 |
| 74.3 | 8 |
| 75.0 | 6 |
| 75.8 | 22 |
| 79.0 | 16 |

Crystal structure
a b c (Å): 3.0854 3.0854 8.6281
angles (deg): 90.00 90.00 120.00
Sites, in units of the cell vectors:
Ni  0.0000  0.0000  0.1509
Ni  0.0000  0.0000  0.8491
Ge  0.3333  0.6667  0.3587
Ge  0.6667  0.3333  0.6413
B  0.3333  0.6667  0.0006
B  0.6667  0.3333  0.9994